For PdSe2Br6, a PBE-relaxed structure gives the theoretical X-ray diffraction stick pattern in this record (Cu Kα, 1.54184 Å).
Lines closer than 0.1° are merged.

Atomic structure:
```
data_PdSe2Br6
_symmetry_space_group_name_H-M 'P 1'
_symmetry_Int_Tables_number 1
_cell_length_a 5.0418
_cell_length_b 7.3955
_cell_length_c 9.3681
_cell_angle_alpha 106.47
_cell_angle_beta 95.81
_cell_angle_gamma 91.76
loop_
_symmetry_equiv_pos_as_xyz
'x,y,z'
loop_
_atom_site_label
_atom_site_type_symbol
_atom_site_fract_x
_atom_site_fract_y
_atom_site_fract_z
_atom_site_occupancy
Pd1 Pd 0.0000 0.0000 0.0000 1
Se1 Se 0.3125 0.2145 0.1952 1
Se2 Se 0.6875 0.7855 0.8048 1
Br1 Br 0.0826 0.4969 0.2127 1
Br2 Br 0.2533 0.1740 0.4318 1
Br3 Br 0.3086 0.1216 0.8550 1
Br4 Br 0.6914 0.8784 0.1450 1
Br5 Br 0.7467 0.8260 0.5682 1
Br6 Br 0.9174 0.5031 0.7873 1
```

The 10 most intense peaks (5 to 70 degrees two-theta), in order of rising 2θ:
9.91°, I = 601; 12.51°, I = 478; 13.54°, I = 568; 19.31°, I = 380; 21.09°, I = 448; 22.38°, I = 1000; 26.51°, I = 369; 28.02°, I = 374; 29.99°, I = 969; 32.73°, I = 618

=====

For PmBr3, a PBE-relaxed structure gives the theoretical X-ray diffraction stick pattern in this record (Cu Kα, 1.54184 Å).
Lines closer than 0.1° are merged.

Atomic structure:
```
data_PmBr3
_symmetry_space_group_name_H-M 'P 1'
_symmetry_Int_Tables_number 1
_cell_length_a 10.5381
_cell_length_b 10.5381
_cell_length_c 3.8720
_cell_angle_alpha 90.00
_cell_angle_beta 90.00
_cell_angle_gamma 120.00
loop_
_symmetry_equiv_pos_as_xyz
'x,y,z'
loop_
_atom_site_label
_atom_site_type_symbol
_atom_site_fract_x
_atom_site_fract_y
_atom_site_fract_z
_atom_site_occupancy
Pm1 Pm 0.3333 0.6667 0.2500 1
Pm2 Pm 0.6667 0.3333 0.7500 1
Br1 Br 0.2149 0.4299 0.7500 1
Br2 Br 0.2149 0.7851 0.7500 1
Br3 Br 0.4299 0.2149 0.2500 1
Br4 Br 0.5701 0.7851 0.7500 1
Br5 Br 0.7851 0.2149 0.2500 1
Br6 Br 0.7851 0.5701 0.2500 1
```

The 10 most intense peaks (5 to 70 degrees two-theta), in order of rising 2θ:
9.69°, I = 1000; 16.83°, I = 388; 19.45°, I = 499; 30.27°, I = 778; 34.83°, I = 342; 35.46°, I = 183; 37.60°, I = 277; 42.68°, I = 361; 52.07°, I = 176; 61.43°, I = 193

=====

For Pr2Br5, a PBE-relaxed structure gives the theoretical X-ray diffraction stick pattern in this record (Cu Kα, 1.54184 Å).
Lines closer than 0.1° are merged.

Atomic structure:
```
data_Pr2Br5
_symmetry_space_group_name_H-M 'P 1'
_symmetry_Int_Tables_number 1
_cell_length_a 8.5322
_cell_length_b 4.1704
_cell_length_c 13.8186
_cell_angle_alpha 90.00
_cell_angle_beta 93.19
_cell_angle_gamma 90.00
loop_
_symmetry_equiv_pos_as_xyz
'x,y,z'
loop_
_atom_site_label
_atom_site_type_symbol
_atom_site_fract_x
_atom_site_fract_y
_atom_site_fract_z
_atom_site_occupancy
Pr1 Pr 0.0832 0.2500 0.1566 1
Pr2 Pr 0.4062 0.7500 0.3464 1
Pr3 Pr 0.5938 0.2500 0.6536 1
Pr4 Pr 0.9168 0.7500 0.8434 1
Br1 Br 0.1362 0.2500 0.7818 1
Br2 Br 0.1577 0.2500 0.3757 1
Br3 Br 0.1822 0.7500 0.0135 1
Br4 Br 0.3642 0.7500 0.5707 1
Br5 Br 0.4420 0.2500 0.1896 1
Br6 Br 0.5580 0.7500 0.8104 1
Br7 Br 0.6358 0.2500 0.4293 1
Br8 Br 0.8178 0.2500 0.9865 1
Br9 Br 0.8423 0.7500 0.6243 1
Br10 Br 0.8638 0.7500 0.2182 1
```

The 10 most intense peaks (5 to 70 degrees two-theta), in order of rising 2θ:
11.90°, I = 1000; 27.37°, I = 293; 29.36°, I = 202; 29.99°, I = 393; 30.42°, I = 452; 32.26°, I = 284; 32.50°, I = 350; 33.72°, I = 218; 40.78°, I = 200; 43.39°, I = 261

=====

For Pr3PtBr3, a PBE-relaxed structure gives the theoretical X-ray diffraction stick pattern in this record (Cu Kα, 1.54184 Å).
Lines closer than 0.1° are merged.

Atomic structure:
```
data_Pr3PtBr3
_symmetry_space_group_name_H-M 'P 1'
_symmetry_Int_Tables_number 1
_cell_length_a 10.6266
_cell_length_b 10.6266
_cell_length_c 10.6266
_cell_angle_alpha 109.47
_cell_angle_beta 109.47
_cell_angle_gamma 109.47
loop_
_symmetry_equiv_pos_as_xyz
'x,y,z'
loop_
_atom_site_label
_atom_site_type_symbol
_atom_site_fract_x
_atom_site_fract_y
_atom_site_fract_z
_atom_site_occupancy
Pr1 Pr 0.0143 0.0286 0.2643 1
Pr2 Pr 0.0143 0.4857 0.7500 1
Pr3 Pr 0.0286 0.2643 0.0143 1
Pr4 Pr 0.2357 0.2643 0.7500 1
Pr5 Pr 0.2357 0.4714 0.4857 1
Pr6 Pr 0.2643 0.0143 0.0286 1
Pr7 Pr 0.2643 0.7500 0.2357 1
Pr8 Pr 0.4714 0.4857 0.2357 1
Pr9 Pr 0.4857 0.2357 0.4714 1
Pr10 Pr 0.4857 0.7500 0.0143 1
Pr11 Pr 0.7500 0.0143 0.4857 1
Pr12 Pr 0.7500 0.2357 0.2643 1
Pt1 Pt 0.0000 0.2500 0.5000 1
Pt2 Pt 0.2500 0.2500 0.2500 1
Pt3 Pt 0.2500 0.5000 0.0000 1
Pt4 Pt 0.5000 0.0000 0.2500 1
Br1 Br 0.2500 0.7544 0.7456 1
Br2 Br 0.2500 0.9956 0.5044 1
Br3 Br 0.5044 0.2500 0.9956 1
Br4 Br 0.5044 0.7544 0.5089 1
Br5 Br 0.5089 0.5044 0.7544 1
Br6 Br 0.7456 0.2500 0.7544 1
Br7 Br 0.7456 0.9956 0.9911 1
Br8 Br 0.7544 0.5089 0.5044 1
Br9 Br 0.7544 0.7456 0.2500 1
Br10 Br 0.9911 0.7456 0.9956 1
Br11 Br 0.9956 0.5044 0.2500 1
Br12 Br 0.9956 0.9911 0.7456 1
```

The 10 most intense peaks (5 to 70 degrees two-theta), in order of rising 2θ:
10.19°, I = 645; 22.92°, I = 113; 29.11°, I = 1000; 30.92°, I = 97; 37.37°, I = 154; 41.64°, I = 723; 48.05°, I = 85; 51.61°, I = 246; 60.35°, I = 110; 68.38°, I = 289

=====

For PrSBr, a PBE-relaxed structure gives the theoretical X-ray diffraction stick pattern in this record (Cu Kα, 1.54184 Å).
Lines closer than 0.1° are merged.

Atomic structure:
```
data_PrSBr
_symmetry_space_group_name_H-M 'P 1'
_symmetry_Int_Tables_number 1
_cell_length_a 6.9631
_cell_length_b 13.9203
_cell_length_c 7.1404
_cell_angle_alpha 90.00
_cell_angle_beta 90.00
_cell_angle_gamma 90.00
loop_
_symmetry_equiv_pos_as_xyz
'x,y,z'
loop_
_atom_site_label
_atom_site_type_symbol
_atom_site_fract_x
_atom_site_fract_y
_atom_site_fract_z
_atom_site_occupancy
Pr1 Pr 0.2403 0.0928 0.0327 1
Pr2 Pr 0.2403 0.4072 0.5327 1
Pr3 Pr 0.2597 0.5928 0.0327 1
Pr4 Pr 0.2597 0.9072 0.5327 1
Pr5 Pr 0.7403 0.0928 0.4673 1
Pr6 Pr 0.7403 0.4072 0.9673 1
Pr7 Pr 0.7597 0.5928 0.4673 1
Pr8 Pr 0.7597 0.9072 0.9673 1
S1 S 0.0018 0.0245 0.7411 1
S2 S 0.0018 0.4755 0.2411 1
S3 S 0.4982 0.5245 0.7411 1
S4 S 0.4982 0.9755 0.2411 1
S5 S 0.5018 0.0245 0.7589 1
S6 S 0.5018 0.4755 0.2589 1
S7 S 0.9982 0.5245 0.7589 1
S8 S 0.9982 0.9755 0.2589 1
Br1 Br 0.1796 0.7029 0.4007 1
Br2 Br 0.1796 0.7971 0.9007 1
Br3 Br 0.3204 0.2029 0.4007 1
Br4 Br 0.3204 0.2971 0.9007 1
Br5 Br 0.6796 0.7029 0.0993 1
Br6 Br 0.6796 0.7971 0.5993 1
Br7 Br 0.8204 0.2029 0.0993 1
Br8 Br 0.8204 0.2971 0.5993 1
```

The 10 most intense peaks (5 to 70 degrees two-theta), in order of rising 2θ:
21.93°, I = 785; 24.94°, I = 243; 25.59°, I = 410; 30.94°, I = 248; 31.35°, I = 1000; 36.03°, I = 543; 38.36°, I = 188; 42.17°, I = 228; 42.99°, I = 385; 47.10°, I = 185

=====

For PrSBr, a PBE-relaxed structure gives the theoretical X-ray diffraction stick pattern in this record (Cu Kα, 1.54184 Å).
Lines closer than 0.1° are merged.

Atomic structure:
```
data_PrSBr
_symmetry_space_group_name_H-M 'P 1'
_symmetry_Int_Tables_number 1
_cell_length_a 7.1239
_cell_length_b 7.1658
_cell_length_c 7.0522
_cell_angle_alpha 90.00
_cell_angle_beta 99.71
_cell_angle_gamma 90.00
loop_
_symmetry_equiv_pos_as_xyz
'x,y,z'
loop_
_atom_site_label
_atom_site_type_symbol
_atom_site_fract_x
_atom_site_fract_y
_atom_site_fract_z
_atom_site_occupancy
Pr1 Pr 0.1805 0.0353 0.2896 1
Pr2 Pr 0.1805 0.4647 0.7896 1
Pr3 Pr 0.8195 0.5353 0.2104 1
Pr4 Pr 0.8195 0.9647 0.7104 1
S1 S 0.0519 0.7413 0.5076 1
S2 S 0.0519 0.7587 0.0076 1
S3 S 0.9481 0.2413 0.9924 1
S4 S 0.9481 0.2587 0.4924 1
Br1 Br 0.4147 0.1158 0.7112 1
Br2 Br 0.4147 0.3842 0.2112 1
Br3 Br 0.5853 0.6158 0.7888 1
Br4 Br 0.5853 0.8842 0.2888 1
```

The 10 most intense peaks (5 to 70 degrees two-theta), in order of rising 2θ:
17.73°, I = 488; 20.55°, I = 678; 23.08°, I = 505; 25.63°, I = 635; 29.28°, I = 1000; 29.90°, I = 448; 32.92°, I = 481; 36.00°, I = 461; 40.93°, I = 308; 42.75°, I = 490

=====

For Pu3Br, a PBE-relaxed structure gives the theoretical X-ray diffraction stick pattern in this record (Cu Kα, 1.54184 Å).
Lines closer than 0.1° are merged.

Atomic structure:
```
data_Pu3Br
_symmetry_space_group_name_H-M 'P 1'
_symmetry_Int_Tables_number 1
_cell_length_a 4.7806
_cell_length_b 4.7806
_cell_length_c 4.7806
_cell_angle_alpha 90.00
_cell_angle_beta 90.00
_cell_angle_gamma 90.00
loop_
_symmetry_equiv_pos_as_xyz
'x,y,z'
loop_
_atom_site_label
_atom_site_type_symbol
_atom_site_fract_x
_atom_site_fract_y
_atom_site_fract_z
_atom_site_occupancy
Pu1 Pu 0.0000 0.0000 0.5000 1
Pu2 Pu 0.0000 0.5000 0.0000 1
Pu3 Pu 0.5000 0.0000 0.0000 1
Br1 Br 0.5000 0.5000 0.5000 1
```

The 10 most intense peaks (5 to 70 degrees two-theta), in order of rising 2θ:
18.56°, I = 104; 26.37°, I = 92; 32.44°, I = 1000; 37.63°, I = 506; 42.27°, I = 56; 46.53°, I = 43; 54.27°, I = 360; 57.87°, I = 29; 64.67°, I = 430; 67.92°, I = 124

=====

For RbBr, a PBE-relaxed structure gives the theoretical X-ray diffraction stick pattern in this record (Cu Kα, 1.54184 Å).
Lines closer than 0.1° are merged.

Atomic structure:
```
data_RbBr
_symmetry_space_group_name_H-M 'P 1'
_symmetry_Int_Tables_number 1
_cell_length_a 4.2018
_cell_length_b 4.2018
_cell_length_c 4.2018
_cell_angle_alpha 90.00
_cell_angle_beta 90.00
_cell_angle_gamma 90.00
loop_
_symmetry_equiv_pos_as_xyz
'x,y,z'
loop_
_atom_site_label
_atom_site_type_symbol
_atom_site_fract_x
_atom_site_fract_y
_atom_site_fract_z
_atom_site_occupancy
Rb1 Rb 0.0000 0.0000 0.0000 1
Br1 Br 0.5000 0.5000 0.5000 1
```

The 4 most intense peaks (5 to 70 degrees two-theta), in order of rising 2θ:
30.08°, I = 1000; 43.05°, I = 182; 53.41°, I = 382; 62.52°, I = 118